Record 1
The following is a computed XRD peak list of Th2SnBi3. It was derived from a PBE-relaxed structure, using Cu Kα X-rays.
Peak positions follow from Bragg's law for the DFT cell and can differ from measured ones.

Main lines, sorted by position (15 to 90 degrees two-theta):
2theta, d/Å, I (rel.)
27.99, 3.188, 35
28.62, 3.119, 47
29.61, 3.017, 96
34.03, 2.634, 100
34.98, 2.565, 51
40.00, 2.254, 69
49.92, 1.827, 42
54.17, 1.693, 30
57.85, 1.594, 24
68.85, 1.364, 27

abc: 4.508 4.508 9.357
angles: 90.00 90.00 90.00
Sites, in units of the cell vectors:
1 Th 0.000 0.500 0.223
2 Th 0.500 0.000 0.777
3 Sn 0.000 0.000 0.500
4 Bi 0.000 0.500 0.862
5 Bi 0.500 0.000 0.138
6 Bi 0.500 0.500 0.500

Record 2
The following is a computed XRD peak list of Pm2DyHo9. It was derived from a PBE-relaxed structure, using Cu Kα X-rays.
Peak positions follow from Bragg's law for the DFT cell and can differ from measured ones.

Main lines, sorted by position (15 to 90 degrees two-theta):
2theta, d/Å, I (rel.)
30.37, 2.943, 60
32.55, 2.751, 100
43.49, 2.081, 23
49.75, 1.833, 8
55.36, 1.660, 45
59.41, 1.556, 18
68.18, 1.375, 12
71.71, 1.316, 10
72.90, 1.298, 10
88.88, 1.101, 12

abc: 5.886 5.886 10.997
angles: 90.00 90.00 90.00
Sites, in units of the cell vectors:
1 Pm 0.000 0.000 0.167
2 Pm 0.000 0.000 0.833
3 Dy 0.000 0.000 0.500
4 Ho 0.000 0.500 0.000
5 Ho 0.000 0.500 0.335
6 Ho 0.000 0.500 0.665
7 Ho 0.500 0.000 0.000
8 Ho 0.500 0.000 0.335
9 Ho 0.500 0.000 0.665
10 Ho 0.500 0.500 0.166
11 Ho 0.500 0.500 0.500
12 Ho 0.500 0.500 0.834

Record 3
The following is a computed XRD peak list of AlAsBr. It was derived from a PBE-relaxed structure, using Cu Kα X-rays.
Peak positions follow from Bragg's law for the DFT cell and can differ from measured ones.

Main lines, sorted by position (15 to 90 degrees two-theta):
2theta, d/Å, I (rel.)
25.74, 3.461, 11
30.87, 2.897, 100
33.87, 2.647, 15
43.02, 2.102, 17
45.39, 1.998, 29
55.90, 1.645, 18
57.82, 1.595, 18
58.73, 1.572, 15
74.75, 1.270, 15
77.20, 1.236, 10

abc: 3.997 3.997 5.294
angles: 90.00 90.00 120.00
Sites, in units of the cell vectors:
1 Al 0.000 0.000 0.000
2 As 0.667 0.333 0.164
3 Br 0.333 0.667 0.647

Record 4
The following is a computed XRD peak list of Ac7Pr12Er. It was derived from a PBE-relaxed structure, using Cu Kα X-rays.
Peak positions follow from Bragg's law for the DFT cell and can differ from measured ones.

Main lines, sorted by position (15 to 90 degrees two-theta):
2theta, d/Å, I (rel.)
20.53, 4.326, 75
27.27, 3.270, 25
29.19, 3.059, 89
32.73, 2.736, 24
35.95, 2.498, 100
41.76, 2.163, 37
46.96, 1.935, 28
56.26, 1.635, 67
64.63, 1.442, 31
79.95, 1.200, 36

abc: 10.597 10.597 10.597
angles: 109.47 109.47 109.47
Sites, in units of the cell vectors:
1 Ac 0.000 0.000 0.500
2 Ac 0.000 0.500 0.000
3 Ac 0.000 0.500 0.500
4 Ac 0.500 0.000 0.000
5 Ac 0.500 0.000 0.500
6 Ac 0.500 0.500 0.000
7 Ac 0.500 0.500 0.500
8 Pr 0.082 0.759 0.323
9 Pr 0.241 0.323 0.564
10 Pr 0.241 0.677 0.918
11 Pr 0.323 0.082 0.759
12 Pr 0.323 0.564 0.241
13 Pr 0.436 0.759 0.677
14 Pr 0.564 0.241 0.323
15 Pr 0.677 0.436 0.759
16 Pr 0.677 0.918 0.241
17 Pr 0.759 0.323 0.082
18 Pr 0.759 0.677 0.436
19 Pr 0.918 0.241 0.677
20 Er 0.000 0.000 0.000

Record 5
The following is a computed XRD peak list of ZrScNi3. It was derived from a PBE-relaxed structure, using Cu Kα X-rays.
Peak positions follow from Bragg's law for the DFT cell and can differ from measured ones.

Main lines, sorted by position (15 to 90 degrees two-theta):
2theta, d/Å, I (rel.)
28.55, 3.126, 24
35.16, 2.552, 100
40.82, 2.210, 91
50.57, 1.805, 9
59.11, 1.563, 57
66.93, 1.398, 4
70.67, 1.333, 35
74.32, 1.276, 18
81.46, 1.182, 4
88.46, 1.105, 9

abc: 4.421 4.421 4.421
angles: 90.00 90.00 90.00
Sites, in units of the cell vectors:
1 Zr 0.000 0.000 0.000
2 Sc 0.500 0.500 0.500
3 Ni 0.000 0.500 0.500
4 Ni 0.500 0.000 0.500
5 Ni 0.500 0.500 0.000

Record 6
The following is a computed XRD peak list of HgTe2. It was derived from a PBE-relaxed structure, using Cu Kα X-rays.
Peak positions follow from Bragg's law for the DFT cell and can differ from measured ones.

Main lines, sorted by position (15 to 90 degrees two-theta):
2theta, d/Å, I (rel.)
24.19, 3.679, 84
27.10, 3.291, 48
29.74, 3.004, 45
34.48, 2.601, 48
40.67, 2.219, 100
42.56, 2.124, 17
44.39, 2.041, 25
46.16, 1.967, 31
65.97, 1.416, 45
72.70, 1.301, 21

abc: 7.358 7.358 7.358
angles: 90.00 90.00 90.00
Sites, in units of the cell vectors:
1 Hg 0.000 0.000 0.000
2 Hg 0.000 0.500 0.500
3 Hg 0.500 0.000 0.500
4 Hg 0.500 0.500 0.000
5 Te 0.108 0.608 0.892
6 Te 0.108 0.892 0.392
7 Te 0.392 0.108 0.892
8 Te 0.392 0.392 0.392
9 Te 0.608 0.608 0.608
10 Te 0.608 0.892 0.108
11 Te 0.892 0.108 0.608
12 Te 0.892 0.392 0.108

Record 7
The following is a computed XRD peak list of Sc4Rh5. It was derived from a PBE-relaxed structure, using Cu Kα X-rays.
Peak positions follow from Bragg's law for the DFT cell and can differ from measured ones.

Main lines, sorted by position (15 to 90 degrees two-theta):
2theta, d/Å, I (rel.)
27.70, 3.221, 28
38.55, 2.336, 25
39.28, 2.293, 100
39.86, 2.262, 86
57.21, 1.610, 27
66.05, 1.415, 8
71.99, 1.312, 22
72.37, 1.306, 9
79.99, 1.199, 23
80.65, 1.191, 7

abc: 7.834 7.834 5.658
angles: 90.00 90.00 120.00
Sites, in units of the cell vectors:
1 Sc 0.000 0.000 0.000
2 Sc 0.000 0.000 0.500
3 Sc 0.000 0.379 0.250
4 Sc 0.000 0.621 0.750
5 Sc 0.379 0.000 0.250
6 Sc 0.379 0.379 0.750
7 Sc 0.621 0.000 0.750
8 Sc 0.621 0.621 0.250
9 Rh 0.000 0.295 0.750
10 Rh 0.000 0.705 0.250
11 Rh 0.295 0.000 0.750
12 Rh 0.295 0.295 0.250
13 Rh 0.333 0.667 0.000
14 Rh 0.333 0.667 0.500
15 Rh 0.667 0.333 0.000
16 Rh 0.667 0.333 0.500
17 Rh 0.705 0.000 0.250
18 Rh 0.705 0.705 0.750

Record 8
The following is a computed XRD peak list of CaPm5Mg4. It was derived from a PBE-relaxed structure, using Cu Kα X-rays.
Peak positions follow from Bragg's law for the DFT cell and can differ from measured ones.

Main lines, sorted by position (15 to 90 degrees two-theta):
2theta, d/Å, I (rel.)
21.83, 4.072, 26
22.92, 3.880, 68
31.86, 2.809, 100
32.64, 2.744, 63
35.13, 2.554, 19
39.61, 2.275, 23
46.83, 1.940, 23
52.76, 1.735, 15
57.76, 1.596, 36
60.32, 1.534, 13

abc: 3.880 3.880 20.361
angles: 90.00 90.00 90.00
Sites, in units of the cell vectors:
1 Ca 0.000 0.000 0.000
2 Pm 0.500 0.500 0.126
3 Pm 0.500 0.500 0.311
4 Pm 0.500 0.500 0.500
5 Pm 0.500 0.500 0.689
6 Pm 0.500 0.500 0.874
7 Mg 0.000 0.000 0.218
8 Mg 0.000 0.000 0.405
9 Mg 0.000 0.000 0.595
10 Mg 0.000 0.000 0.782